Entry 1:
Theoretical powder XRD pattern of Tm2Tl3PbSe6 for Cu Kα, 1.54184 Å, from DFT lattice parameters and positions (GGA-PBE).

Main lines, by angle (5° ≤ 2θ ≤ 70°):
2θ (°), Rel. int.
25.7, 237
28.8, 508
29.2, 1000
40.1, 193
40.5, 379
42.4, 360
43.3, 178
52.8, 189

Crystal structure
Lattice parameters (Å, degrees): 9.953 9.953 9.009 106.71 106.71 24.24
Fractional coordinates of all 12 atoms:
Tm 0.170 0.170 0.336
Tm 0.830 0.830 0.664
Tl 0.165 0.165 0.834
Tl 0.500 0.500 0.500
Tl 0.835 0.835 0.166
Pb 0.500 0.500 0.000
Se 0.016 0.016 0.253
Se 0.323 0.323 0.442
Se 0.335 0.335 0.881
Se 0.665 0.665 0.119
Se 0.677 0.677 0.558
Se 0.984 0.984 0.747

Entry 2:
Theoretical powder XRD pattern of PrPu2Ga2Pt7 for Cu Kα, 1.54184 Å, from DFT lattice parameters and positions (GGA-PBE).

Main lines, by angle (5° ≤ 2θ ≤ 70°):
2θ (°), Rel. int.
31.6, 633
31.8, 316
33.5, 312
33.8, 609
35.2, 803
35.4, 386
36.5, 1000
44.0, 911

Crystal structure
Lattice parameters (Å, degrees): 4.119 4.119 14.230 96.15 96.15 89.30
Fractional coordinates of all 12 atoms:
Pr 0.000 0.000 0.000
Pu 0.115 0.115 0.364
Pu 0.885 0.885 0.636
Ga 0.407 0.407 0.741
Ga 0.593 0.593 0.259
Pt 0.057 0.557 0.159
Pt 0.363 0.363 0.568
Pt 0.443 0.943 0.841
Pt 0.500 0.500 0.000
Pt 0.557 0.057 0.159
Pt 0.637 0.637 0.432
Pt 0.943 0.443 0.841

Entry 3:
Theoretical powder XRD pattern of KCd6Hg for Cu Kα, 1.54184 Å, from DFT lattice parameters and positions (GGA-PBE).

Main lines, by angle (5° ≤ 2θ ≤ 70°):
2θ (°), Rel. int.
8.4, 869
30.8, 907
36.3, 1000
37.3, 174
37.8, 353
48.4, 253
62.0, 235
65.3, 177

Crystal structure
Lattice parameters (Å, degrees): 10.886 10.886 10.886 26.27 26.27 26.27
Fractional coordinates of all 8 atoms:
K 0.000 0.000 0.000
Cd 0.129 0.129 0.129
Cd 0.250 0.250 0.250
Cd 0.405 0.405 0.405
Cd 0.595 0.595 0.595
Cd 0.750 0.750 0.750
Cd 0.871 0.871 0.871
Hg 0.500 0.500 0.500

Entry 4:
Theoretical powder XRD pattern of Sr2Al12Ag7 for Cu Kα, 1.54184 Å, from DFT lattice parameters and positions (GGA-PBE).

Main lines, by angle (5° ≤ 2θ ≤ 70°):
2θ (°), Rel. int.
25.9, 921
26.9, 474
28.7, 807
33.4, 1000
41.5, 588
42.4, 449
45.6, 430
48.5, 431

Crystal structure
Lattice parameters (Å, degrees): 10.526 10.526 4.265 90.00 90.00 120.00
Fractional coordinates of all 21 atoms:
Sr 0.000 0.000 0.000
Sr 0.333 0.667 0.500
Al 0.029 0.745 0.500
Al 0.126 0.382 0.000
Al 0.255 0.284 0.500
Al 0.257 0.874 0.000
Al 0.376 0.186 0.000
Al 0.546 0.128 0.500
Al 0.582 0.454 0.500
Al 0.618 0.743 0.000
Al 0.716 0.971 0.500
Al 0.810 0.624 0.000
Al 0.814 0.190 0.000
Al 0.872 0.418 0.500
Ag 0.047 0.590 0.000
Ag 0.250 0.021 0.500
Ag 0.410 0.457 0.000
Ag 0.543 0.953 0.000
Ag 0.667 0.333 0.000
Ag 0.770 0.750 0.500
Ag 0.979 0.230 0.500

Entry 5:
Theoretical powder XRD pattern of PmCo2H8 for Cu Kα, 1.54184 Å, from DFT lattice parameters and positions (GGA-PBE).

Main lines, by angle (5° ≤ 2θ ≤ 70°):
2θ (°), Rel. int.
23.7, 692
34.9, 267
36.1, 1000
44.6, 206
51.1, 265
57.9, 119
58.7, 194
65.0, 209

Crystal structure
Lattice parameters (Å, degrees): 5.744 5.744 5.744 138.61 138.61 59.96
Fractional coordinates of all 11 atoms:
Pm 0.000 0.000 0.000
Co 0.250 0.750 0.500
Co 0.750 0.250 0.500
H 0.118 0.118 0.562
H 0.118 0.556 0.000
H 0.444 0.444 0.562
H 0.444 0.882 0.000
H 0.556 0.118 0.000
H 0.556 0.556 0.438
H 0.882 0.444 0.000
H 0.882 0.882 0.438

Entry 6:
Theoretical powder XRD pattern of AcPmH8Pt2 for Cu Kα, 1.54184 Å, from DFT lattice parameters and positions (GGA-PBE).

Main lines, by angle (5° ≤ 2θ ≤ 70°):
2θ (°), Rel. int.
27.4, 1000
38.6, 414
39.6, 382
47.9, 224
56.4, 136
63.1, 199
64.5, 187
69.8, 74

Crystal structure
Lattice parameters (Å, degrees): 7.828 7.828 7.828 34.71 34.71 34.71
Fractional coordinates of all 12 atoms:
Ac 0.000 0.000 0.000
Pm 0.500 0.500 0.500
H 0.025 0.025 0.611
H 0.025 0.611 0.025
H 0.325 0.325 0.325
H 0.389 0.975 0.975
H 0.611 0.025 0.025
H 0.675 0.675 0.675
H 0.975 0.389 0.975
H 0.975 0.975 0.389
Pt 0.247 0.247 0.247
Pt 0.753 0.753 0.753

Entry 7:
Theoretical powder XRD pattern of CsBeI3 for Cu Kα, 1.54184 Å, from DFT lattice parameters and positions (GGA-PBE).

Main lines, by angle (5° ≤ 2θ ≤ 70°):
2θ (°), Rel. int.
19.6, 127
21.8, 271
26.1, 340
27.5, 1000
32.3, 183
34.2, 166
46.9, 214
51.8, 165

Crystal structure
Lattice parameters (Å, degrees): 9.141 9.141 6.838 90.00 90.00 126.42
Fractional coordinates of all 10 atoms:
Cs 0.146 0.854 0.500
Cs 0.854 0.146 0.000
Be 0.427 0.573 0.596
Be 0.573 0.427 0.096
I 0.113 0.399 0.506
I 0.399 0.113 0.006
I 0.433 0.567 0.963
I 0.567 0.433 0.463
I 0.601 0.887 0.506
I 0.887 0.601 0.006

Entry 8:
Theoretical powder XRD pattern of Na8B9C7 for Cu Kα, 1.54184 Å, from DFT lattice parameters and positions (GGA-PBE).

Main lines, by angle (5° ≤ 2θ ≤ 70°):
2θ (°), Rel. int.
21.0, 7
36.5, 174
42.5, 1000
42.8, 258
57.4, 97
65.7, 172
69.8, 14

Crystal structure
Lattice parameters (Å, degrees): 9.788 5.687 8.924 80.83 35.00 64.17
Fractional coordinates of all 24 atoms:
Na 0.125 0.375 0.125
Na 0.125 0.875 0.125
Na 0.374 0.627 0.373
Na 0.375 0.125 0.374
Na 0.626 0.875 0.625
Na 0.627 0.374 0.626
Na 0.875 0.125 0.875
Na 0.875 0.626 0.875
B 0.167 0.167 0.833
B 0.340 0.340 0.660
B 0.340 0.821 0.660
B 0.417 0.417 0.083
B 0.417 0.917 0.083
B 0.821 0.340 0.179
B 0.833 0.833 0.167
B 0.917 0.417 0.583
B 0.917 0.917 0.583
C 0.083 0.083 0.417
C 0.083 0.584 0.416
C 0.167 0.667 0.833
C 0.583 0.583 0.917
C 0.584 0.083 0.917
C 0.667 0.167 0.333
C 0.667 0.667 0.333

Entry 9:
Theoretical powder XRD pattern of Na4Cd4Ga for Cu Kα, 1.54184 Å, from DFT lattice parameters and positions (GGA-PBE).

Main lines, by angle (5° ≤ 2θ ≤ 70°):
2θ (°), Rel. int.
13.0, 437
16.4, 319
25.1, 503
30.4, 378
33.2, 381
34.0, 1000
34.7, 734
50.7, 298

Crystal structure
Lattice parameters (Å, degrees): 7.983 7.983 7.983 136.76 136.76 62.80
Fractional coordinates of all 9 atoms:
Na 0.100 0.715 0.000
Na 0.285 0.285 0.385
Na 0.715 0.100 0.000
Na 0.900 0.900 0.615
Cd 0.122 0.122 0.612
Cd 0.490 0.878 0.000
Cd 0.510 0.510 0.388
Cd 0.878 0.490 0.000
Ga 0.500 0.500 0.000

Entry 10:
Theoretical powder XRD pattern of Th6NiCl15 for Cu Kα, 1.54184 Å, from DFT lattice parameters and positions (GGA-PBE).

Main lines, by angle (5° ≤ 2θ ≤ 70°):
2θ (°), Rel. int.
11.0, 1000
15.7, 209
19.2, 377
24.9, 251
29.5, 312
31.6, 663
40.6, 257
45.3, 476

Crystal structure
Lattice parameters (Å, degrees): 9.807 9.807 9.807 109.47 109.47 109.47
Fractional coordinates of all 22 atoms:
Th 0.000 0.246 0.246
Th 0.000 0.754 0.754
Th 0.246 0.000 0.246
Th 0.246 0.246 0.000
Th 0.754 0.000 0.754
Th 0.754 0.754 0.000
Ni 0.000 0.000 0.000
Cl 0.000 0.246 0.754
Cl 0.000 0.500 0.500
Cl 0.000 0.754 0.246
Cl 0.246 0.000 0.754
Cl 0.246 0.246 0.493
Cl 0.246 0.493 0.246
Cl 0.246 0.754 0.000
Cl 0.493 0.246 0.246
Cl 0.500 0.000 0.500
Cl 0.500 0.500 0.000
Cl 0.507 0.754 0.754
Cl 0.754 0.000 0.246
Cl 0.754 0.246 0.000
Cl 0.754 0.507 0.754
Cl 0.754 0.754 0.507

Repeat the fourth record exactly.
Theoretical powder XRD pattern of Sr2Al12Ag7 for Cu Kα, 1.54184 Å, from DFT lattice parameters and positions (GGA-PBE).

Main lines, by angle (5° ≤ 2θ ≤ 70°):
2θ (°), Rel. int.
25.9, 921
26.9, 474
28.7, 807
33.4, 1000
41.5, 588
42.4, 449
45.6, 430
48.5, 431

Crystal structure
Lattice parameters (Å, degrees): 10.526 10.526 4.265 90.00 90.00 120.00
Fractional coordinates of all 21 atoms:
Sr 0.000 0.000 0.000
Sr 0.333 0.667 0.500
Al 0.029 0.745 0.500
Al 0.126 0.382 0.000
Al 0.255 0.284 0.500
Al 0.257 0.874 0.000
Al 0.376 0.186 0.000
Al 0.546 0.128 0.500
Al 0.582 0.454 0.500
Al 0.618 0.743 0.000
Al 0.716 0.971 0.500
Al 0.810 0.624 0.000
Al 0.814 0.190 0.000
Al 0.872 0.418 0.500
Ag 0.047 0.590 0.000
Ag 0.250 0.021 0.500
Ag 0.410 0.457 0.000
Ag 0.543 0.953 0.000
Ag 0.667 0.333 0.000
Ag 0.770 0.750 0.500
Ag 0.979 0.230 0.500

What is the formula in the third record? KCd6Hg